This entry pairs a crystal structure of NdScAu6 with its theoretical powder diffractogram. Radiation: Cu Kα, 1.54184 Å. Structure: a PBE-relaxed structure.

Most intense lines, 10 to 90 degrees two-theta, in order of rising 2θ:
d/Å, 2theta, I (rel.)
2.659, 33.7, 25
2.559, 35.1, 11
2.488, 36.1, 41
2.346, 38.4, 100
2.276, 39.6, 48
1.817, 50.2, 16
1.496, 62.0, 16
1.408, 66.4, 21
1.285, 73.8, 14
1.282, 73.9, 20

Cell and atoms:
abc: 4.9769 6.2252 5.1181
angles: 90.00 90.00 90.00
Fractional coordinates of all 8 atoms:
Nd 0.0000 0.0000 0.0000
Sc 0.5000 0.5000 0.3154
Au 0.0000 0.2700 0.4973
Au 0.0000 0.5000 0.0061
Au 0.0000 0.7300 0.4973
Au 0.5000 0.0000 0.3491
Au 0.5000 0.2647 0.8239
Au 0.5000 0.7353 0.8239